Simulated powder diffraction line list
Compound: Ba5Ho8Zn4O21
Radiation: Cu Kα (λ = 1.5418 Å)
Structure: a cell relaxed with GGA-PBE

Top 10 peaks for 10° ≤ 2θ ≤ 80°, in order of rising 2θ:
2θ/deg  I/Imax
28.20  46
29.09  16
31.12  100
31.43  42
36.33  34
38.23  14
43.36  18
46.43  19
50.30  11
55.76  19

Structural model:
```
Ba5Ho8Zn4O21
1.0
-6.8639 6.8639 2.8461
6.8639 -6.8639 2.8461
6.8639 6.8639 -2.8461
Ba Ho Zn O
5 8 4 21
Cartesian
0.0000 0.0000 0.0000 Ba
7.3548 1.9146 0.0000 Ba
1.9146 6.3731 0.0000 Ba
4.9493 0.4909 2.8461 Ba
-0.4909 4.9493 2.8461 Ba
3.3978 2.3043 0.0000 Ho
4.5596 -3.4662 2.8461 Ho
5.6499 4.9065 0.0000 Ho
1.9575 -1.2141 2.8461 Ho
4.9065 8.0780 0.0000 Ho
1.2141 1.9575 2.8461 Ho
2.3043 10.3301 0.0000 Ho
3.4662 4.5596 2.8461 Ho
10.2880 0.5578 0.0000 Zn
0.5578 3.4399 0.0000 Zn
6.3061 3.4240 2.8461 Zn
-3.4240 6.3061 2.8461 Zn
8.9019 -3.3196 1.4341 O
5.1128 0.5226 0.0000 O
7.5235 4.4290 -1.4236 O
3.5444 -2.0380 1.4119 O
4.4290 6.2044 -1.4236 O
2.4350 0.6596 1.4225 O
6.3414 -1.7511 2.8461 O
10.1835 2.0380 1.4119 O
-0.6596 2.4350 1.4225 O
4.8260 3.3196 1.4341 O
0.0000 0.0000 2.8461 O
2.0380 3.5444 1.4119 O
7.5235 4.4290 1.4236 O
-3.3196 4.8260 1.4341 O
0.5226 8.6151 0.0000 O
4.4290 6.2044 1.4236 O
2.4350 0.6596 4.2697 O
3.3196 8.9019 1.4341 O
-0.6596 2.4350 4.2697 O
1.7511 6.3414 2.8461 O
-2.0380 10.1835 1.4119 O
```